The following is a simulated X-ray powder pattern of Rb3InI6O18. It was derived from a crystal structure in Alexandria, relaxed with PBE, using Cu Ka.

Principal peaks in the range 10° ≤ 2θ ≤ 90°, sorted by position:
| 2θ (°) | intensity |
| --- | --- |
| 24.13 | 15 |
| 25.74 | 64 |
| 25.95 | 100 |
| 27.19 | 69 |
| 27.38 | 34 |
| 29.52 | 33 |
| 30.90 | 31 |
| 42.27 | 20 |
| 43.71 | 28 |
| 44.23 | 15 |

Crystal structure
```
Rb3InI6O18
1.0
7.1833 0.0000 0.0000
2.1443 6.8882 0.0000
3.3414 -0.6570 10.3451
Rb In I O
3 1 6 18
Cartesian
0.0000 0.0000 0.0000
3.2728 -0.2040 6.2165
9.3961 6.4352 4.1286
4.6638 3.4441 0.0000
4.0204 3.0974 8.3714
5.1656 2.8518 3.7294
5.8703 6.4746 1.9756
6.7986 -0.2433 8.3695
7.5033 3.3795 6.6157
8.6485 3.1338 1.9737
2.6071 3.5697 3.3263
1.6449 1.3124 1.9098
2.5403 3.6845 0.5243
5.1391 0.5287 8.4075
5.1057 5.6042 3.3884
5.6695 3.5097 6.3572
4.7062 1.1248 4.0975
4.9986 5.5817 0.5721
7.3621 3.6337 8.4588
5.3068 2.5975 1.8863
7.6703 0.6495 9.7730
7.9627 5.1064 6.2476
6.9994 2.7215 3.9879
7.5632 0.6271 6.9567
7.5299 5.7026 1.9376
10.1286 2.5467 9.8208
11.0240 4.9188 8.4353
10.0618 2.6615 7.0188
```

The following is a simulated X-ray powder pattern of Rb2InI6O18. It was derived from a crystal structure in Alexandria, relaxed with PBE, using Cu Ka.

Principal peaks in the range 10° ≤ 2θ ≤ 90°, sorted by position:
| 2θ (°) | intensity |
| --- | --- |
| 22.98 | 27 |
| 24.10 | 62 |
| 25.98 | 56 |
| 27.28 | 100 |
| 32.28 | 49 |
| 38.02 | 20 |
| 46.63 | 19 |
| 46.77 | 16 |
| 48.99 | 23 |
| 55.79 | 16 |

Crystal structure
```
Rb2InI6O18
1.0
7.8984 0.0000 0.0000
-1.0348 7.8306 0.0000
-1.0463 -1.1817 7.7399
Rb In I O
2 1 6 18
Cartesian
0.9761 1.1135 1.2964
4.8411 5.5354 6.4435
2.9086 3.3245 3.8700
-0.0590 5.0850 2.5423
0.7706 4.2254 6.7520
1.7321 0.1738 5.4074
4.0851 6.4751 2.3325
5.0466 2.4235 0.9879
5.8762 1.5640 5.1976
-0.1287 5.3326 0.7349
-0.0672 -0.1349 5.3745
-0.5467 3.8833 5.5195
1.3317 3.8528 2.4758
0.9253 6.5439 3.0663
0.5171 6.0071 7.0601
1.6722 1.5675 4.1786
1.8944 1.1882 6.9292
2.1755 4.4732 5.5600
3.6418 2.1757 2.1799
3.9229 5.4608 0.8107
4.1451 5.0815 3.5613
5.3002 0.6418 0.6798
4.8920 0.1051 4.6736
4.4856 2.7961 5.2642
6.3640 2.7656 2.2204
5.8845 6.7839 2.3654
5.9460 1.3163 7.0050
```

The following is a simulated X-ray powder pattern of InPI. It was derived from a crystal structure in Alexandria, relaxed with PBE, using Cu Ka.

Principal peaks in the range 10° ≤ 2θ ≤ 90°, sorted by position:
| 2θ (°) | intensity |
| --- | --- |
| 24.24 | 14 |
| 29.27 | 100 |
| 32.65 | 13 |
| 41.07 | 21 |
| 42.64 | 30 |
| 52.56 | 19 |
| 54.72 | 17 |
| 56.20 | 11 |
| 69.90 | 16 |
| 73.75 | 7 |

Crystal structure
```
InPI
1.0
3.6725 2.1203 5.4854
-3.6725 2.1203 5.4854
0.0000 -4.2406 5.4854
In P I
3 3 3
Cartesian
0.0000 0.0000 0.0046
0.0000 0.0000 5.4854
0.0000 0.0000 10.9642
-1.2262 -2.1196 6.3438
-1.2225 2.1217 6.3438
2.4487 -0.0021 6.3438
-2.4511 -0.0011 8.7291
1.2265 -2.1222 8.7291
1.2246 2.1232 8.7291
```

The following is a simulated X-ray powder pattern of InSb2PI. It was derived from a crystal structure in Alexandria, relaxed with PBE, using Cu Ka.

Principal peaks in the range 10° ≤ 2θ ≤ 90°, sorted by position:
| 2θ (°) | intensity |
| --- | --- |
| 28.70 | 100 |
| 32.68 | 23 |
| 33.54 | 43 |
| 47.53 | 32 |
| 48.16 | 15 |
| 55.91 | 15 |
| 57.03 | 28 |
| 59.42 | 16 |
| 76.85 | 12 |
| 89.47 | 11 |

Crystal structure
```
InSb2PI
1.0
5.3439 0.0000 0.0000
0.0000 5.3439 0.0000
0.0000 0.0000 5.4798
In Sb P I
1 2 1 1
Cartesian
0.0000 0.0000 0.0000
0.0000 2.6719 2.7399
2.6719 0.0000 2.7399
2.6719 2.6719 2.7399
2.6719 2.6719 0.0000
```

The following is a simulated X-ray powder pattern of RbPaInI6. It was derived from a crystal structure in Alexandria, relaxed with PBE, using Cu Ka.

Principal peaks in the range 10° ≤ 2θ ≤ 90°, sorted by position:
| 2θ (°) | intensity |
| --- | --- |
| 11.62 | 25 |
| 13.24 | 25 |
| 16.65 | 41 |
| 23.77 | 100 |
| 31.39 | 73 |
| 33.96 | 21 |
| 36.19 | 42 |
| 41.31 | 26 |
| 43.78 | 19 |
| 48.64 | 18 |

Crystal structure
```
RbPaInI6
1.0
8.5980 0.0000 0.0000
-4.2990 7.4461 0.0000
0.0000 0.0000 15.2292
Rb Pa In I
2 2 2 12
Cartesian
0.0000 0.0000 0.0000
0.0000 0.0000 7.6146
0.0000 4.9641 3.8073
4.2990 2.4820 11.4219
0.0000 4.9641 11.4219
4.2990 2.4820 3.8073
-1.3325 2.8581 2.0554
-2.4901 4.8631 5.5592
1.3325 2.8581 5.5592
-1.1576 7.1711 2.0554
3.1414 0.2751 9.6700
1.8089 2.5830 13.1737
2.4901 4.8631 2.0554
1.1576 7.1711 5.5592
5.4566 0.2751 13.1737
2.9665 4.5880 9.6700
6.7891 2.5830 9.6700
5.6315 4.5880 13.1737
```

The following is a simulated X-ray powder pattern of In3PbI. It was derived from a crystal structure in Alexandria, relaxed with PBE, using Cu Ka.

Principal peaks in the range 10° ≤ 2θ ≤ 90°, sorted by position:
| 2θ (°) | intensity |
| --- | --- |
| 14.58 | 41 |
| 20.68 | 45 |
| 25.40 | 32 |
| 29.41 | 100 |
| 32.97 | 25 |
| 36.22 | 23 |
| 42.07 | 76 |
| 52.16 | 27 |
| 69.16 | 34 |
| 76.89 | 25 |

Crystal structure
```
In3PbI
1.0
6.0745 0.0000 0.0000
0.0000 6.0745 0.0000
0.0000 0.0000 6.0745
In Pb I
3 1 1
Cartesian
0.0000 0.0000 3.0373
0.0000 3.0373 0.0000
3.0373 0.0000 0.0000
0.0000 0.0000 0.0000
3.0373 3.0373 3.0373
```

The following is a simulated X-ray powder pattern of InPbI. It was derived from a crystal structure in Alexandria, relaxed with PBE, using Cu Ka.

Principal peaks in the range 10° ≤ 2θ ≤ 90°, sorted by position:
| 2θ (°) | intensity |
| --- | --- |
| 15.02 | 77 |
| 21.70 | 91 |
| 29.83 | 100 |
| 30.32 | 66 |
| 30.65 | 42 |
| 31.65 | 90 |
| 32.56 | 39 |
| 34.88 | 67 |
| 39.94 | 38 |
| 46.87 | 39 |

Crystal structure
```
InPbI
1.0
6.5081 0.0000 0.0000
0.0000 5.1443 0.0000
-3.1613 0.0000 6.7684
In Pb I
2 2 2
Cartesian
-1.0052 1.2861 2.6964
4.3520 3.8583 4.0721
-2.3436 1.2861 5.9037
5.6904 3.8583 0.8647
2.3400 3.8583 1.6730
1.0068 1.2861 5.0954
```

The following is a simulated X-ray powder pattern of In6PbI8. It was derived from a crystal structure in Alexandria, relaxed with PBE, using Cu Ka.

Principal peaks in the range 10° ≤ 2θ ≤ 90°, sorted by position:
| 2θ (°) | intensity |
| --- | --- |
| 10.61 | 17 |
| 13.08 | 26 |
| 21.34 | 32 |
| 26.14 | 36 |
| 27.24 | 28 |
| 29.29 | 59 |
| 31.37 | 100 |
| 32.19 | 18 |
| 34.05 | 20 |
| 43.47 | 21 |

Crystal structure
```
In6PbI8
1.0
5.2821 3.0496 6.7680
-5.2821 3.0496 6.7680
0.0000 -6.0992 6.7680
In Pb I
6 1 8
Cartesian
-4.0424 -0.2609 8.7167
-1.7952 -3.6313 11.5873
2.2472 -3.3704 8.7167
-2.2472 3.3704 11.5873
1.7952 3.6313 8.7167
4.0424 0.2609 11.5873
0.0000 0.0000 10.1520
-1.2920 -2.3448 8.3298
0.0000 0.0000 3.4337
-2.6767 -0.0534 11.9742
-1.3846 2.2913 8.3298
1.3846 -2.2913 11.9742
2.6767 0.0534 8.3298
0.0000 0.0000 16.8702
1.2920 2.3448 11.9742
```